Entry 1:
# CdCu3
Computed PXRD pattern, λ = 1.5418 Å (Cu Kα). Input: the GGA-PBE geometry in the Materials Project.
Kinematic intensities with the Lorentz-polarization factor, no thermal factor.

Peak list (7 most intense, 2θ from 5° to 70°, sorted by position)
23.25 deg, 3.826 Å, I = 6.6; 33.12 deg, 2.705 Å, I = 5.3; 40.86 deg, 2.209 Å, I = 100.0; 47.53 deg, 1.913 Å, I = 47.4; 53.56 deg, 1.711 Å, I = 2.7; 59.15 deg, 1.562 Å, I = 2.0; 69.49 deg, 1.353 Å, I = 28.0

Cell and atoms:
a b c (Å): 3.826 3.826 3.826
angles (deg): 90.00 90.00 90.00
Element x y z (fractional)
Cd: 0.000 0.000 0.000
Cu: 0.000 0.500 0.500
Cu: 0.500 0.000 0.500
Cu: 0.500 0.500 0.000


Entry 2:
# DyCdCu
Computed PXRD pattern, λ = 1.5418 Å (Cu Kα). Input: the GGA-PBE geometry in the Materials Project.
Kinematic intensities with the Lorentz-polarization factor, no thermal factor.

Peak list (8 most intense, 2θ from 5° to 70°, sorted by position)
33.09 deg, 2.707 Å, I = 100.0; 35.91 deg, 2.501 Å, I = 77.5; 36.40 deg, 2.468 Å, I = 53.9; 41.48 deg, 2.177 Å, I = 22.8; 46.72 deg, 1.944 Å, I = 20.9; 56.01 deg, 1.642 Å, I = 24.2; 60.63 deg, 1.527 Å, I = 23.7; 66.93 deg, 1.398 Å, I = 24.5

Cell and atoms:
a b c (Å): 7.541 7.541 3.889
angles (deg): 90.00 90.00 120.00
Element x y z (fractional)
Dy: 0.000 0.588 0.000
Dy: 0.412 0.412 0.000
Dy: 0.588 0.000 0.000
Cd: 0.000 0.252 0.500
Cd: 0.252 0.000 0.500
Cd: 0.748 0.748 0.500
Cu: 0.000 0.000 0.000
Cu: 0.333 0.667 0.500
Cu: 0.667 0.333 0.500


Entry 3:
# Er2CdCu2
Computed PXRD pattern, λ = 1.5418 Å (Cu Kα). Input: the GGA-PBE geometry in the Materials Project.
Kinematic intensities with the Lorentz-polarization factor, no thermal factor.

Peak list (8 most intense, 2θ from 5° to 70°, sorted by position)
26.35 deg, 3.383 Å, I = 21.5; 34.31 deg, 2.614 Å, I = 60.0; 36.36 deg, 2.471 Å, I = 100.0; 37.60 deg, 2.392 Å, I = 43.1; 49.70 deg, 1.835 Å, I = 18.0; 56.22 deg, 1.636 Å, I = 19.5; 57.64 deg, 1.599 Å, I = 18.1; 64.61 deg, 1.443 Å, I = 16.9

Cell and atoms:
a b c (Å): 7.564 7.564 3.617
angles (deg): 90.00 90.00 90.00
Element x y z (fractional)
Er: 0.177 0.323 0.000
Er: 0.323 0.823 0.000
Er: 0.677 0.177 0.000
Er: 0.823 0.677 0.000
Cd: 0.000 0.000 0.500
Cd: 0.500 0.500 0.500
Cu: 0.117 0.617 0.500
Cu: 0.383 0.117 0.500
Cu: 0.617 0.883 0.500
Cu: 0.883 0.383 0.500


Entry 4:
# CdFe4Cu10Sn5Se20
Computed PXRD pattern, λ = 1.5418 Å (Cu Kα). Input: the GGA-PBE geometry in the Materials Project.
Kinematic intensities with the Lorentz-polarization factor, no thermal factor.

Peak list (8 most intense, 2θ from 5° to 70°, sorted by position)
26.80 deg, 3.327 Å, I = 100.0; 35.52 deg, 2.527 Å, I = 3.0; 44.20 deg, 2.049 Å, I = 24.8; 44.60 deg, 2.032 Å, I = 47.4; 52.45 deg, 1.745 Å, I = 29.1; 53.15 deg, 1.723 Å, I = 13.6; 64.29 deg, 1.449 Å, I = 7.5; 65.53 deg, 1.425 Å, I = 3.4

Cell and atoms:
a b c (Å): 10.791 10.791 10.791
angles (deg): 106.19 106.19 116.25
Element x y z (fractional)
Cd: 0.000 0.000 0.000
Fe: 0.200 0.400 0.600
Fe: 0.399 0.800 0.200
Fe: 0.600 0.200 0.800
Fe: 0.800 0.601 0.400
Cu: 0.051 0.354 0.901
Cu: 0.152 0.050 0.698
Cu: 0.250 0.750 0.500
Cu: 0.352 0.454 0.302
Cu: 0.453 0.150 0.099
Cu: 0.546 0.848 0.897
Cu: 0.646 0.547 0.697
Cu: 0.750 0.250 0.500
Cu: 0.850 0.949 0.303
Cu: 0.950 0.648 0.103
Sn: 0.102 0.699 0.798
Sn: 0.301 0.099 0.402
Sn: 0.500 0.500 0.000
Sn: 0.697 0.898 0.598
Sn: 0.901 0.303 0.202
Se: 0.021 0.407 0.692
Se: 0.072 0.780 0.585
Se: 0.114 0.129 0.506
Se: 0.195 0.487 0.415
Se: 0.220 0.805 0.293
Se: 0.297 0.195 0.203
Se: 0.313 0.528 0.107
Se: 0.392 0.886 0.014
Se: 0.420 0.206 0.893
Se: 0.472 0.580 0.785
Se: 0.513 0.928 0.707
Se: 0.593 0.285 0.613
Se: 0.622 0.608 0.494
Se: 0.671 0.979 0.387
Se: 0.715 0.329 0.308
Se: 0.794 0.687 0.215
Se: 0.805 0.008 0.102
Se: 0.871 0.378 0.986
Se: 0.906 0.703 0.898
Se: 0.992 0.094 0.797


Repeat the first record exactly.
# CdCu3
Computed PXRD pattern, λ = 1.5418 Å (Cu Kα). Input: the GGA-PBE geometry in the Materials Project.
Kinematic intensities with the Lorentz-polarization factor, no thermal factor.

Peak list (7 most intense, 2θ from 5° to 70°, sorted by position)
23.25 deg, 3.826 Å, I = 6.6; 33.12 deg, 2.705 Å, I = 5.3; 40.86 deg, 2.209 Å, I = 100.0; 47.53 deg, 1.913 Å, I = 47.4; 53.56 deg, 1.711 Å, I = 2.7; 59.15 deg, 1.562 Å, I = 2.0; 69.49 deg, 1.353 Å, I = 28.0

Cell and atoms:
a b c (Å): 3.826 3.826 3.826
angles (deg): 90.00 90.00 90.00
Element x y z (fractional)
Cd: 0.000 0.000 0.000
Cu: 0.000 0.500 0.500
Cu: 0.500 0.000 0.500
Cu: 0.500 0.500 0.000